For YTm3Pd2, DFT lattice parameters and positions (PBE) gives the theoretical powder diffractogram in this record (Cu Kα).

Main lines, sorted by position (10 to 80 degrees two-theta):
d = 2.934 Å, rel. 100; d = 2.850 Å, rel. 52; d = 2.735 Å, rel. 20; d = 2.707 Å, rel. 83; d = 2.672 Å, rel. 20; d = 2.479 Å, rel. 72; d = 2.419 Å, rel. 67; d = 2.269 Å, rel. 23; d = 2.066 Å, rel. 21; d = 1.513 Å, rel. 23

Atomic structure:
a b c (Å): 4.8373 8.6615 7.0531
angles (deg): 90.00 90.00 90.00
Space group Pmc2_1 (No. 26)
One atom of each set of equivalent atoms:
Y 0.0000 0.0778 0.0000 [2 per cell]
Tm 0.0000 0.3302 0.6279 [2 per cell]
Tm 0.5000 0.1724 0.3391 [2 per cell]
Tm 0.5000 0.4221 0.9667 [2 per cell]
Pd 0.0000 0.3482 0.2281 [2 per cell]
Pd 0.5000 0.1563 0.7396 [2 per cell]